Entry 1:
Starting from a cell relaxed with GGA-PBE, the X-ray diffraction stick pattern of PaFe5Si2 was computed for a wavelength of 1.5418 Å.
Peak positions follow from Bragg's law for the DFT cell and can differ from measured ones.

The 10 most intense peaks (10° ≤ 2θ ≤ 90°), most intense first:
hkl, 2θ (°), Rel. int.
1 2 1, 39.2, 100
1 0 3, 39.6, 75
0 2 4, 45.9, 50
0 2 2, 31.8, 41
0 1 1, 15.8, 36
0 1 3, 30.7, 35
1 1 2, 35.9, 34
0 0 2, 18.4, 28
0 3 1, 40.2, 24
2 2 4, 76.0, 22

Atomic structure:
Cell lengths 3.2360, 6.9247, 9.6248 Å; angles 90.00, 90.00, 90.00 degrees
Space group Immm (No. 71)
Asymmetric unit:
Pa 0.0000 0.0000 0.0000
Fe 0.0000 0.1969 0.3556
Fe 0.0000 0.5000 0.0000
Si 0.0000 0.5000 0.2463

Entry 2:
Starting from a cell relaxed with GGA-PBE, the X-ray diffraction stick pattern of TbPaFe10 was computed for a wavelength of 1.5418 Å.
Peak positions follow from Bragg's law for the DFT cell and can differ from measured ones.

The 10 most intense peaks (10° ≤ 2θ ≤ 90°), most intense first:
hkl, 2θ (°), Rel. int.
1 2 0, 42.9, 100
1 1 1, 30.5, 68
0 0 4, 42.0, 38
0 2 0, 36.2, 37
2 0 0, 45.3, 24
2 0 4, 63.5, 21
2 2 0, 59.3, 18
1 3 3, 69.6, 15
3 2 0, 82.0, 14
1 2 4, 61.5, 13

Atomic structure:
Cell lengths 4.0001, 4.9754, 8.5919 Å; angles 90.00, 90.00, 90.00 degrees
Space group Pmmm (No. 47)
Asymmetric unit:
Tb 0.0000 0.0000 0.0000
Pa 0.0000 0.5000 0.5000
Fe 0.0000 0.0000 0.3372
Fe 0.0000 0.5000 0.1709
Fe 0.5000 0.0000 0.5000
Fe 0.5000 0.2501 0.2506
Fe 0.5000 0.5000 0.0000

Entry 3:
Starting from a cell relaxed with GGA-PBE, the X-ray diffraction stick pattern of Pa2Fe3Tc was computed for a wavelength of 1.5418 Å.
Peak positions follow from Bragg's law for the DFT cell and can differ from measured ones.

The 10 most intense peaks (10° ≤ 2θ ≤ 90°), most intense first:
hkl, 2θ (°), Rel. int.
1 1 3, 41.3, 100
1 1 0, 33.9, 88
1 0 4, 36.5, 50
0 1 5, 43.5, 40
0 2 1, 40.2, 35
0 1 8, 67.4, 34
1 0 1, 20.9, 27
3 0 3, 65.8, 25
1 2 8, 87.5, 24
2 2 0, 71.4, 22

Atomic structure:
Cell lengths 5.2817, 5.2817, 11.6755 Å; angles 90.00, 90.00, 120.00 degrees
Space group R-3m (No. 166, hexagonal axes)
Asymmetric unit:
Pa 0.0000 0.0000 0.1262
Fe 0.0000 0.5000 0.0000
Tc 0.0000 0.0000 0.5000